Starting from a PBE+U-relaxed structure, the powder X-ray diffraction pattern of Sr5V3ClO12 was simulated for Cu Kα (weighted mean of Kα1 and Kα2).

Structure:
```
Sr5V3ClO12
1.0
10.5188 0.0000 0.0000
-5.2594 9.1095 0.0000
0.0000 0.0000 7.2661
Sr V Cl O
10 6 2 24
Direct
0.0147 0.7550 0.2500
0.2450 0.2597 0.2500
0.2597 0.0147 0.7500
0.3333 0.6667 0.5034
0.3333 0.6667 0.9966
0.6667 0.3333 0.0034
0.6667 0.3333 0.4966
0.7403 0.9853 0.2500
0.7550 0.7403 0.7500
0.9853 0.2450 0.7500
0.0326 0.4103 0.2500
0.3777 0.9674 0.2500
0.4103 0.3777 0.7500
0.5897 0.6223 0.2500
0.6223 0.0326 0.7500
0.9674 0.5897 0.7500
0.0000 0.0000 0.0000
0.0000 0.0000 0.5000
0.0912 0.3527 0.0603
0.0912 0.3527 0.4397
0.1344 0.6034 0.2500
0.1553 0.6565 0.7500
0.2616 0.9088 0.0603
0.2616 0.9088 0.4397
0.3435 0.4988 0.7500
0.3527 0.2616 0.5603
0.3527 0.2616 0.9397
0.3966 0.5311 0.2500
0.4689 0.8656 0.2500
0.4988 0.1553 0.2500
0.5012 0.8447 0.7500
0.5311 0.1344 0.7500
0.6034 0.4689 0.7500
0.6473 0.7384 0.0603
0.6473 0.7384 0.4397
0.6565 0.5012 0.2500
0.7384 0.0912 0.5603
0.7384 0.0912 0.9397
0.8447 0.3435 0.2500
0.8656 0.3966 0.7500
0.9088 0.6473 0.5603
0.9088 0.6473 0.9397
```

The 10 most intense peaks (5° ≤ 2θ ≤ 70°), most intense first:
| 2θ/deg | d/Å | I (rel.) |
| --- | --- | --- |
| 28.69 | 3.111 | 100.0 |
| 29.89 | 2.989 | 84.5 |
| 29.41 | 3.037 | 60.9 |
| 42.43 | 2.130 | 39.6 |
| 45.80 | 1.981 | 29.3 |
| 45.14 | 2.008 | 20.3 |
| 45.64 | 1.988 | 19.5 |
| 25.88 | 3.443 | 17.4 |
| 50.22 | 1.817 | 15.5 |
| 47.10 | 1.930 | 14.2 |